(1)
The following is a computed XRD peak list of CeSi2Rh4. It was derived from DFT lattice parameters and positions (GGA-PBE), using λ = 1.5418 Å (Cu Kα).
Peak positions follow from Bragg's law for the DFT cell and can differ from measured ones.

The 6 most intense peaks (10 to 90 degrees two-theta), by angle:
two_theta  intensity  (hkl)
35.32  100  2 1 1
36.91  43  3 1 0
40.90  28  2 2 1
44.29  28  3 1 1
48.35  20  0 0 2
65.47  21  5 0 1

a = 7.7020 Å, b = 7.7020 Å, c = 3.7649 Å
α = 90.00°, β = 90.00°, γ = 90.00°
Space group P4_2/mnm (No. 136)
Inequivalent atoms, fractional coordinates:
Ce (0.0000, 0.0000, 0.0000) x2
Si (0.2292, 0.2292, 0.5000) x4
Rh (0.0738, 0.6720, 0.5000) x8

(2)
The following is a computed XRD peak list of Tm4GePtSe2. It was derived from DFT lattice parameters and positions (GGA-PBE), using λ = 1.5418 Å (Cu Kα).
Peak positions follow from Bragg's law for the DFT cell and can differ from measured ones.

The 6 most intense peaks (10 to 90 degrees two-theta), by angle:
two_theta  intensity  (hkl)
31.05  100  2 0 -2
43.63  26  1 1 -3
44.06  12  2 0 2
44.87  12  0 2 0
45.33  24  3 1 -1
55.58  14  2 2 -2

a = 6.9087 Å, b = 4.0402 Å, c = 7.2546 Å
α = 90.00°, β = 108.98°, γ = 90.00°
Space group P2/m (No. 10)
Inequivalent atoms, fractional coordinates:
Tm (0.2391, 0.0000, 0.2332) x2
Tm (0.2535, 0.5000, 0.7624) x2
Ge (0.5000, 0.0000, 0.0000) x1
Pt (0.0000, 0.5000, 0.0000) x1
Se (0.0000, 0.0000, 0.5000) x1
Se (0.5000, 0.5000, 0.5000) x1